Diffraction record for Ba3NaB24. The X-ray diffraction stick pattern is theoretical, not measured: it uses DFT lattice parameters and positions (PBE) and Cu Kα (weighted mean of Kα1 and Kα2).
Peak positions follow from Bragg's law for the DFT cell and can differ from measured ones.

```
data_Ba3NaB24
_cell_length_a 4.2569
_cell_length_b 4.2569
_cell_length_c 16.9779
_cell_angle_alpha 90.00
_cell_angle_beta 90.00
_cell_angle_gamma 90.00
_space_group_name_H-M_alt 'P 4/m m m'
_space_group_IT_number 123
_space_group_name_Hall '-P 4 2'
loop_
_atom_site_label
_atom_site_fract_x
_atom_site_fract_y
_atom_site_fract_z
Ba1 0.0000 0.0000 0.0000
Ba2 0.0000 0.0000 0.2556
Na1 0.0000 0.0000 0.5000
B1 0.2022 0.5000 0.3779
B2 0.2044 0.5000 0.1260
B3 0.5000 0.5000 0.0515
B4 0.5000 0.5000 0.2005
B5 0.5000 0.5000 0.3031
B6 0.5000 0.5000 0.4511
```

Main lines, sorted by position (10 to 90 degrees two-theta):
2θ/deg, d_spacing, intensity, h k l
20.89, 4.253, 48, 1 0 0
29.71, 3.007, 100, 1 1 0
36.60, 2.455, 42, 1 1 4
42.47, 2.128, 15, 2 0 0
47.79, 1.903, 32, 2 1 0
47.89, 1.899, 15, 1 0 8
52.72, 1.736, 22, 2 1 4
65.89, 1.418, 28, 2 2 4